Computed X-ray diffraction stick pattern
Compound: Th6TeAs3P2
Radiation: copper Kα
Structure: a cell relaxed with PBE

Main lines, in order of rising 2θ (10° ≤ 2θ ≤ 80°):
Position (°2θ)	d (Å)	I_rel
25.50	3.493	121
25.70	3.466	389
29.70	3.008	1000
42.38	2.133	358
42.63	2.121	384
50.34	1.813	123
52.82	1.733	201
69.72	1.349	101
70.12	1.342	172
77.84	1.227	82

Structural model:
```
data_Th6TeAs3P2
_chemical_formula_sum 'Th6 Te1 As3 P2'
_cell_length_a 9.487
_cell_length_b 9.487
_cell_length_c 8.539
_cell_angle_alpha 102.57
_cell_angle_beta 102.57
_cell_angle_gamma 25.84
_space_group_name_H-M_alt 'P 1'
_space_group_IT_number 1
loop_
_space_group_symop_operation_xyz
'x,y,z'
loop_
_atom_site_label
_atom_site_fract_x
_atom_site_fract_y
_atom_site_fract_z
Th1 0.006 0.006 0.271
Th2 0.325 0.325 0.901
Th3 0.330 0.330 0.422
Th4 0.670 0.670 0.578
Th5 0.675 0.675 0.099
Th6 0.994 0.994 0.729
Te1 0.500 0.500 0.000
As1 0.161 0.161 0.834
As2 0.500 0.500 0.500
As3 0.839 0.839 0.166
P1 0.168 0.168 0.335
P2 0.832 0.832 0.665
```